The following is a simulated XRD peak list of NiP2O7. It was derived from the GGA+U geometry in Alexandria, using Cu Kα (weighted mean of Kα1 and Kα2).
Kinematic intensities with the Lorentz-polarization factor, no thermal factor.

Crystal structure
```
NiP2O7
1.0
3.411 -4.033 0.000
3.411 4.033 0.000
-0.975 0.000 4.573
Ni P O
1 2 7
direct
0.000 0.000 0.000
0.157 0.452 0.588
0.548 0.843 0.412
0.047 0.671 0.737
0.219 0.259 0.794
0.329 0.953 0.263
0.433 0.567 0.500
0.696 0.019 0.691
0.741 0.781 0.206
0.981 0.304 0.309
```

The 10 most intense peaks (2θ from 5° to 70°), in order of rising 2θ:
| 2θ/deg | Rel. int. |
| --- | --- |
| 17.2 | 864 |
| 22.0 | 652 |
| 23.9 | 364 |
| 28.1 | 1000 |
| 29.5 | 681 |
| 29.7 | 741 |
| 34.9 | 217 |
| 42.6 | 253 |
| 42.8 | 234 |
| 48.9 | 214 |